Computed powder diffractogram
Compound: CsTlTeO4
Radiation: Cu Kα, 1.54184 Å
Structure: a GGA-PBE-relaxed structure

Main lines, sorted by position (2θ from 5° to 70°):
d_spacing, Rel. int.
5.773, 483
3.535, 1000
3.015, 197
2.500, 147
2.294, 161
2.041, 428
1.768, 168
1.581, 187

Atomic structure:
Cell: 7.071 7.071 7.071 Å, 60.00 60.00 60.00°
Sites, in units of the cell vectors:
Cs 0.000 0.000 0.000
Tl 0.250 0.250 0.250
Te 0.500 0.500 0.500
O 0.393 0.393 0.393
O 0.393 0.393 0.822
O 0.393 0.822 0.393
O 0.822 0.393 0.393